(1)
Structure and theoretical XRD peak list of Sm2GdAl7Cu2 (a structure optimized by DFT (GGA-PBE); Cu Kα (weighted mean of Kα1 and Kα2)).

Peak list (8 most intense, 10° ≤ 2θ ≤ 80°, low angle first)
Position (°2θ)	intensity
18.85	389
20.77	302
30.72	492
32.39	870
33.63	330
37.74	270
38.79	1000
63.99	273

Structural model:
Lattice parameters (Å, degrees): 9.130 9.130 9.130 35.25 35.25 35.25
Fractional positions:
1 Sm 0.142 0.142 0.142
2 Sm 0.858 0.858 0.858
3 Gd 0.000 0.000 0.000
4 Al 0.072 0.581 0.581
5 Al 0.419 0.419 0.928
6 Al 0.419 0.928 0.419
7 Al 0.500 0.500 0.500
8 Al 0.581 0.072 0.581
9 Al 0.581 0.581 0.072
10 Al 0.928 0.419 0.419
11 Cu 0.335 0.335 0.335
12 Cu 0.665 0.665 0.665

(2)
Structure and theoretical XRD peak list of NiAgBr6 (a structure optimized by DFT (GGA-PBE); Cu Kα (weighted mean of Kα1 and Kα2)).

Peak list (8 most intense, 10° ≤ 2θ ≤ 80°, low angle first)
Position (°2θ)	intensity
18.65	759
19.02	367
31.27	1000
31.46	983
31.81	343
31.92	609
41.34	464
48.30	323

Structural model:
Lattice parameters (Å, degrees): 6.492 6.511 6.856 91.15 117.08 119.74
Fractional positions:
1 Ni 0.000 0.000 0.000
2 Ag 0.000 0.500 0.500
3 Br 0.158 0.222 0.766
4 Br 0.168 0.395 0.237
5 Br 0.455 0.068 0.236
6 Br 0.545 0.932 0.764
7 Br 0.832 0.605 0.763
8 Br 0.842 0.778 0.234

(3)
Structure and theoretical XRD peak list of CdIBr (a structure optimized by DFT (GGA-PBE); Cu Kα (weighted mean of Kα1 and Kα2)).

Peak list (8 most intense, 10° ≤ 2θ ≤ 80°, low angle first)
Position (°2θ)	intensity
21.60	507
24.94	1000
29.74	204
32.41	249
41.24	585
41.41	318
48.95	309
75.42	202

Structural model:
Lattice parameters (Å, degrees): 4.360 4.360 12.432 90.00 90.00 90.00
Fractional positions:
1 Cd 0.000 0.000 0.000
2 Cd 0.500 0.500 0.500
3 I 0.000 0.500 0.644
4 I 0.500 0.000 0.356
5 Br 0.000 0.500 0.123
6 Br 0.500 0.000 0.877

(4)
Structure and theoretical XRD peak list of Li4TbSbO6 (a structure optimized by DFT (GGA-PBE); Cu Kα (weighted mean of Kα1 and Kα2)).

Peak list (8 most intense, 10° ≤ 2θ ≤ 80°, low angle first)
Position (°2θ)	intensity
17.98	1000
18.56	230
19.64	421
22.59	306
33.10	401
34.99	307
40.66	498
41.82	231

Structural model:
Lattice parameters (Å, degrees): 5.494 5.494 5.212 99.16 99.16 120.90
Fractional positions:
1 Li 0.000 0.000 0.000
2 Li 0.387 0.613 0.000
3 Li 0.682 0.318 0.000
4 Li 0.857 0.143 0.500
5 Tb 0.192 0.808 0.500
6 Sb 0.524 0.476 0.500
7 O 0.147 0.398 0.260
8 O 0.289 0.247 0.734
9 O 0.454 0.107 0.260
10 O 0.602 0.853 0.740
11 O 0.753 0.711 0.266
12 O 0.893 0.546 0.740

(5)
Structure and theoretical XRD peak list of Ho2Ag3Au (a structure optimized by DFT (GGA-PBE); Cu Kα (weighted mean of Kα1 and Kα2)).

Peak list (8 most intense, 10° ≤ 2θ ≤ 80°, low angle first)
Position (°2θ)	intensity
25.92	28
34.21	679
38.15	1000
49.16	241
60.57	62
63.87	432
71.43	152
72.06	77

Structural model:
Lattice parameters (Å, degrees): 3.707 3.707 9.173 90.00 90.00 90.00
Fractional positions:
1 Ho 0.000 0.000 0.000
2 Ho 0.500 0.500 0.491
3 Ag 0.000 0.000 0.669
4 Ag 0.500 0.500 0.164
5 Ag 0.500 0.500 0.827
6 Au 0.000 0.000 0.334

(6)
Structure and theoretical XRD peak list of NaSiPd3 (a structure optimized by DFT (GGA-PBE); Cu Kα (weighted mean of Kα1 and Kα2)).

Peak list (8 most intense, 10° ≤ 2θ ≤ 80°, low angle first)
Position (°2θ)	intensity
18.03	526
29.02	349
34.38	264
36.52	1000
43.35	259
47.31	735
65.74	218
72.46	150

Structural model:
Lattice parameters (Å, degrees): 5.682 5.682 6.153 90.00 90.00 120.00
Fractional positions:
1 Na 0.000 0.000 0.000
2 Na 0.000 0.000 0.500
3 Si 0.333 0.667 0.000
4 Si 0.667 0.333 0.000
5 Pd 0.000 0.500 0.278
6 Pd 0.000 0.500 0.722
7 Pd 0.500 0.000 0.278
8 Pd 0.500 0.000 0.722
9 Pd 0.500 0.500 0.278
10 Pd 0.500 0.500 0.722

(7)
Structure and theoretical XRD peak list of Cu9Ag (a structure optimized by DFT (GGA-PBE); Cu Kα (weighted mean of Kα1 and Kα2)).

Peak list (8 most intense, 10° ≤ 2θ ≤ 80°, low angle first)
Position (°2θ)	intensity
37.36	18
39.73	38
42.61	1000
45.93	18
49.02	348
50.77	118
71.84	101
73.25	144

Structural model:
Lattice parameters (Å, degrees): 2.628 2.628 17.982 90.00 90.00 90.00
Fractional positions:
1 Cu 0.000 0.000 0.000
2 Cu 0.000 0.000 0.194
3 Cu 0.000 0.000 0.386
4 Cu 0.000 0.000 0.614
5 Cu 0.000 0.000 0.806
6 Cu 0.500 0.500 0.097
7 Cu 0.500 0.500 0.290
8 Cu 0.500 0.500 0.710
9 Cu 0.500 0.500 0.903
10 Ag 0.500 0.500 0.500

(8)
Structure and theoretical XRD peak list of Nd2Tm2CI5 (a structure optimized by DFT (GGA-PBE); Cu Kα (weighted mean of Kα1 and Kα2)).

Peak list (8 most intense, 10° ≤ 2θ ≤ 80°, low angle first)
Position (°2θ)	intensity
10.26	427
27.58	343
29.19	171
30.07	1000
32.09	405
41.11	192
41.40	198
45.09	182

Structural model:
Lattice parameters (Å, degrees): 10.130 10.130 8.823 102.02 102.02 22.90
Fractional positions:
1 Nd 0.001 0.001 0.304
2 Nd 0.999 0.999 0.696
3 Tm 0.378 0.378 0.440
4 Tm 0.622 0.622 0.560
5 C 0.500 0.500 0.500
6 I 0.164 0.164 0.822
7 I 0.166 0.166 0.340
8 I 0.500 0.500 0.000
9 I 0.834 0.834 0.660
10 I 0.836 0.836 0.178

(9)
Structure and theoretical XRD peak list of HoTlSeO (a structure optimized by DFT (GGA-PBE); Cu Kα (weighted mean of Kα1 and Kα2)).

Peak list (8 most intense, 10° ≤ 2θ ≤ 80°, low angle first)
Position (°2θ)	intensity
25.02	283
29.62	1000
32.30	209
32.74	348
33.17	259
34.29	544
46.16	176
53.53	214

Structural model:
Lattice parameters (Å, degrees): 5.583 5.544 12.284 90.00 101.51 90.00
Fractional positions:
1 Ho 0.042 0.000 0.089
2 Ho 0.457 0.000 0.911
3 Ho 0.543 0.500 0.089
4 Ho 0.958 0.500 0.911
5 Tl 0.019 0.635 0.609
6 Tl 0.478 0.632 0.391
7 Tl 0.522 0.132 0.609
8 Tl 0.981 0.135 0.391
9 Se 0.046 0.148 0.737
10 Se 0.456 0.146 0.263
11 Se 0.544 0.646 0.737
12 Se 0.954 0.648 0.263
13 O 0.250 0.256 0.000
14 O 0.250 0.754 0.000
15 O 0.750 0.254 0.000
16 O 0.750 0.756 0.000

(10)
Structure and theoretical XRD peak list of CdGaO3 (a structure optimized by DFT (GGA-PBE); Cu Kα (weighted mean of Kα1 and Kα2)).

Peak list (8 most intense, 10° ≤ 2θ ≤ 80°, low angle first)
Position (°2θ)	intensity
22.94	220
31.57	1000
33.74	880
46.88	381
51.32	348
58.99	355
60.35	281
79.73	127

Structural model:
Lattice parameters (Å, degrees): 5.694 5.694 5.694 55.62 55.62 55.62
Fractional positions:
1 Cd 0.138 0.138 0.138
2 Cd 0.862 0.862 0.862
3 Ga 0.348 0.348 0.348
4 Ga 0.652 0.652 0.652
5 O 0.056 0.709 0.460
6 O 0.291 0.540 0.944
7 O 0.460 0.056 0.709
8 O 0.540 0.944 0.291
9 O 0.709 0.460 0.056
10 O 0.944 0.291 0.540

(11)
Structure and theoretical XRD peak list of GdDyTmScIn2 (a structure optimized by DFT (GGA-PBE); Cu Kα (weighted mean of Kα1 and Kα2)).

Peak list (8 most intense, 10° ≤ 2θ ≤ 80°, low angle first)
Position (°2θ)	intensity
19.43	120
33.30	1000
33.99	916
48.32	351
60.39	358
60.83	168
66.42	253
71.55	103

Structural model:
Lattice parameters (Å, degrees): 5.275 5.275 6.658 90.00 90.00 120.00
Fractional positions:
1 Gd 0.000 0.000 0.000
2 Dy 0.000 0.000 0.513
3 Tm 0.667 0.333 0.259
4 Sc 0.333 0.667 0.753
5 In 0.333 0.667 0.258
6 In 0.667 0.333 0.755

(12)
Structure and theoretical XRD peak list of TePd14 (a structure optimized by DFT (GGA-PBE); Cu Kα (weighted mean of Kα1 and Kα2)).

Peak list (8 most intense, 10° ≤ 2θ ≤ 80°, low angle first)
Position (°2θ)	intensity
38.39	891
39.55	284
39.90	1000
40.47	376
40.88	670
44.36	269
45.72	287
46.44	327

Structural model:
Lattice parameters (Å, degrees): 7.304 7.304 29.992 90.26 90.26 31.06
Fractional positions:
1 Te 0.210 0.210 0.262
2 Te 0.790 0.790 0.738
3 Pd 0.018 0.018 0.804
4 Pd 0.056 0.056 0.898
5 Pd 0.096 0.096 0.990
6 Pd 0.135 0.135 0.082
7 Pd 0.172 0.172 0.174
8 Pd 0.210 0.210 0.787
9 Pd 0.250 0.250 0.881
10 Pd 0.288 0.288 0.973
11 Pd 0.328 0.328 0.065
12 Pd 0.366 0.366 0.157
13 Pd 0.402 0.402 0.249
14 Pd 0.406 0.406 0.766
15 Pd 0.443 0.443 0.861
16 Pd 0.479 0.479 0.954
17 Pd 0.521 0.521 0.046
18 Pd 0.557 0.557 0.139
19 Pd 0.594 0.594 0.234
20 Pd 0.598 0.598 0.751
21 Pd 0.634 0.634 0.843
22 Pd 0.672 0.672 0.935
23 Pd 0.712 0.712 0.027
24 Pd 0.750 0.750 0.119
25 Pd 0.790 0.790 0.213
26 Pd 0.828 0.828 0.826
27 Pd 0.865 0.865 0.918
28 Pd 0.904 0.904 0.010
29 Pd 0.944 0.944 0.102
30 Pd 0.982 0.982 0.196

(13)
Structure and theoretical XRD peak list of ErTmZn2Sn2 (a structure optimized by DFT (GGA-PBE); Cu Kα (weighted mean of Kα1 and Kα2)).

Peak list (8 most intense, 10° ≤ 2θ ≤ 80°, low angle first)
Position (°2θ)	intensity
28.68	158
32.51	1000
40.26	598
46.92	130
52.67	259
63.11	154
68.31	238
73.18	104

Structural model:
Lattice parameters (Å, degrees): 4.480 4.480 15.645 90.00 90.00 120.00
Fractional positions:
1 Er 0.000 0.000 0.250
2 Er 0.000 0.000 0.750
3 Tm 0.000 0.000 0.000
4 Tm 0.000 0.000 0.500
5 Zn 0.333 0.667 0.161
6 Zn 0.333 0.667 0.339
7 Zn 0.667 0.333 0.661
8 Zn 0.667 0.333 0.839
9 Sn 0.333 0.667 0.612
10 Sn 0.333 0.667 0.888
11 Sn 0.667 0.333 0.112
12 Sn 0.667 0.333 0.388